Diffraction record for LaPm3Sm4. The powder X-ray diffraction pattern is theoretical, not measured: it uses DFT lattice parameters and positions (GGA-PBE) and Cu Kα (λ = 1.5418 Å).
Peak positions follow from Bragg's law for the DFT cell and can differ from measured ones.

Peak list (5 most intense, 5° ≤ 2θ ≤ 70°, in order of rising 2θ)
two_theta, d/Å, I (rel.), hkl
29.95, 2.983, 100, 2 2 0
34.72, 2.584, 51, 4 0 0
49.92, 1.827, 36, 4 2 2
59.32, 1.558, 43, 6 2 0
62.24, 1.492, 12, 4 4 0

Structural model:
```
data_LaPm3Sm4
_chemical_formula_sum 'La2 Pm6 Sm8'
_cell_length_a 10.329
_cell_length_b 7.311
_cell_length_c 7.307
_cell_angle_alpha 90.00
_cell_angle_beta 90.00
_cell_angle_gamma 90.00
_space_group_name_H-M_alt 'P 1'
_space_group_IT_number 1
_space_group_name_Hall 'P 1'
loop_
_atom_site_label
_atom_site_type_symbol
_atom_site_fract_x
_atom_site_fract_y
_atom_site_fract_z
La1 La 0.000 0.000 0.000
La2 La 0.500 0.000 0.500
Pm1 Pm 0.000 0.500 0.500
Pm2 Pm 0.250 0.251 0.250
Pm3 Pm 0.250 0.749 0.750
Pm4 Pm 0.500 0.500 0.000
Pm5 Pm 0.750 0.251 0.250
Pm6 Pm 0.750 0.749 0.750
Sm1 Sm 0.000 0.000 0.500
Sm2 Sm 0.000 0.500 0.000
Sm3 Sm 0.250 0.251 0.750
Sm4 Sm 0.250 0.749 0.250
Sm5 Sm 0.500 0.000 0.000
Sm6 Sm 0.500 0.500 0.500
Sm7 Sm 0.750 0.251 0.750
Sm8 Sm 0.750 0.749 0.250
```